Entry 1:
Calculated powder XRD pattern
Compound: Cs2PdICl3
Radiation: copper Kα
Structure: a DFT-relaxed cell (GGA-PBE, OQMD)
Peak positions follow from Bragg's law for the DFT cell and can differ from measured ones.

The 10 most intense peaks (10° ≤ 2θ ≤ 90°), low angle first:
(0 1 1), 2θ 11.58, I 49; (0 0 2), 2θ 17.39, I 28; (1 1 1), 2θ 21.81, I 41; (1 2 0), 2θ 24.06, I 100; (1 0 2), 2θ 25.44, I 34; (1 2 2), 2θ 29.84, I 72; (0 4 0), 2θ 30.96, I 34; (0 0 4), 2θ 35.21, I 38; (2 0 0), 2θ 37.35, I 27; (1 2 4), 2θ 43.10, I 40

Crystal structure
```
data_Cs2PdICl3
_cell_length_a 4.815
_cell_length_b 11.553
_cell_length_c 10.197
_cell_angle_alpha 90.00
_cell_angle_beta 90.00
_cell_angle_gamma 90.00
_symmetry_space_group_name_H-M 'A m m 2'
_symmetry_Int_Tables_number 38
_symmetry_space_group_name_Hall 'A 2 -2'
loop_
_atom_site_label
_atom_site_fract_x
_atom_site_fract_y
_atom_site_fract_z
Cs1 0.000 0.226 0.000
Pd1 0.500 0.000 0.743
I1 0.500 0.000 0.487
Cl1 0.500 0.000 0.976
Cl2 0.500 0.203 0.744
```

=====

Entry 2:
Calculated powder XRD pattern
Compound: Zr5Sn3
Radiation: copper Kα
Structure: a DFT-relaxed cell (GGA-PBE, OQMD)
Peak positions follow from Bragg's law for the DFT cell and can differ from measured ones.

The 10 most intense peaks (10° ≤ 2θ ≤ 90°), low angle first:
(0 0 2), 2θ 30.76, I 22; (2 1 0), 2θ 32.07, I 24; (2 1 1), 2θ 35.69, I 100; (3 0 0), 2θ 36.51, I 50; (1 1 2), 2θ 37.45, I 72; (3 1 1), 2θ 47.05, I 21; (2 2 2), 2θ 53.30, I 15; (2 1 3), 2θ 57.94, I 24; (5 0 2), 2θ 71.69, I 18; (3 0 4), 2θ 76.05, I 12

Crystal structure
```
data_Zr5Sn3
_cell_length_a 8.5252
_cell_length_b 8.5252
_cell_length_c 5.8138
_cell_angle_alpha 90.00
_cell_angle_beta 90.00
_cell_angle_gamma 120.00
_symmetry_space_group_name_H-M 'P 63/m c m'
_symmetry_Int_Tables_number 193
_symmetry_space_group_name_Hall '-P 6c 2'
loop_
_atom_site_label
_atom_site_fract_x
_atom_site_fract_y
_atom_site_fract_z
Zr1 0.0000 0.2465 0.2500
Zr2 0.3333 0.6667 0.0000
Sn1 0.0000 0.3922 0.7500
```

=====

Entry 3:
Calculated powder XRD pattern
Compound: Nd3IrO7
Radiation: copper Kα
Structure: a DFT-relaxed cell (GGA-PBE, OQMD)
Peak positions follow from Bragg's law for the DFT cell and can differ from measured ones.

The 10 most intense peaks (10° ≤ 2θ ≤ 90°), low angle first:
(1 1 2), 2θ 26.79, I 9; (1 2 -2), 2θ 28.96, I 100; (2 0 0), 2θ 29.07, I 29; (2 1 0), 2θ 31.46, I 9; (2 0 -4), 2θ 32.74, I 16; (1 2 2), 2θ 34.02, I 30; (3 2 -2), 2θ 47.93, I 30; (0 4 0), 2θ 48.72, I 12; (3 2 -6), 2θ 56.12, I 10; (2 4 0), 2θ 57.73, I 17

Crystal structure
```
data_Nd3IrO7
_cell_length_a 6.608
_cell_length_b 7.476
_cell_length_c 13.240
_cell_angle_alpha 90.00
_cell_angle_beta 111.62
_cell_angle_gamma 90.00
_symmetry_space_group_name_H-M 'P 1 21/c 1'
_symmetry_Int_Tables_number 14
_symmetry_space_group_name_Hall '-P 2ybc'
loop_
_atom_site_label
_atom_site_fract_x
_atom_site_fract_y
_atom_site_fract_z
Nd1 0.012 0.001 0.245
Nd2 0.087 0.247 0.015
Nd3 0.468 0.739 0.205
Ir1 0.500 0.000 0.000
Ir2 0.500 0.000 0.500
O1 0.103 0.736 0.170
O2 0.163 0.228 0.698
O3 0.173 0.541 0.453
O4 0.209 0.548 0.995
O5 0.401 0.250 0.451
O6 0.405 0.544 0.838
O7 0.494 0.544 0.355
```

=====

Entry 4:
Calculated powder XRD pattern
Compound: Rb5CuSe3
Radiation: copper Kα
Structure: a DFT-relaxed cell (GGA-PBE, OQMD)
Peak positions follow from Bragg's law for the DFT cell and can differ from measured ones.

The 10 most intense peaks (10° ≤ 2θ ≤ 90°), low angle first:
(1 0 0), 2θ 11.37, I 27; (1 0 1), 2θ 22.36, I 17; (1 1 1), 2θ 27.68, I 100; (2 0 1), 2θ 30.01, I 17; (3 0 0), 2θ 34.59, I 53; (2 1 1), 2θ 36.19, I 67; (0 0 2), 2θ 38.93, I 24; (3 0 2), 2θ 53.05, I 30; (3 2 1), 2θ 55.15, I 22; (5 1 1), 2θ 70.38, I 16

Crystal structure
```
data_Rb5CuSe3
_cell_length_a 8.9839
_cell_length_b 8.9839
_cell_length_c 4.6266
_cell_angle_alpha 90.00
_cell_angle_beta 90.00
_cell_angle_gamma 120.00
_symmetry_space_group_name_H-M 'P -6 2 m'
_symmetry_Int_Tables_number 189
_symmetry_space_group_name_Hall 'P -6 -2'
loop_
_atom_site_label
_atom_site_fract_x
_atom_site_fract_y
_atom_site_fract_z
Rb1 0.0000 0.2601 0.0000
Rb2 0.3333 0.6667 0.0000
Cu1 0.0000 0.0000 0.5000
Se1 0.0000 0.7133 0.5000
```

=====

Entry 5:
Calculated powder XRD pattern
Compound: LaSmCu4
Radiation: copper Kα
Structure: a DFT-relaxed cell (GGA-PBE, OQMD)
Peak positions follow from Bragg's law for the DFT cell and can differ from measured ones.

The 10 most intense peaks (10° ≤ 2θ ≤ 90°), low angle first:
(1 0 1), 2θ 23.62, I 11; (1 1 2), 2θ 33.98, I 18; (1 2 1), 2θ 34.70, I 100; (0 3 1), 2θ 39.84, I 9; (2 0 0), 2θ 41.45, I 21; (1 0 3), 2θ 41.69, I 33; (2 2 2), 2θ 55.18, I 16; (1 4 1), 2θ 57.26, I 7; (1 3 4), 2θ 67.21, I 10; (3 2 1), 2θ 71.24, I 8

Crystal structure
```
data_LaSmCu4
_cell_length_a 4.357
_cell_length_b 7.120
_cell_length_c 7.490
_cell_angle_alpha 90.00
_cell_angle_beta 90.00
_cell_angle_gamma 90.00
_symmetry_space_group_name_H-M 'I m m 2'
_symmetry_Int_Tables_number 44
_symmetry_space_group_name_Hall 'I 2 -2'
loop_
_atom_site_label
_atom_site_fract_x
_atom_site_fract_y
_atom_site_fract_z
La1 0.000 0.000 0.000
Sm1 0.000 0.500 0.928
Cu1 0.000 0.203 0.627
Cu2 0.000 0.295 0.296
```

=====

Entry 6:
Calculated powder XRD pattern
Compound: Ta4NiB3
Radiation: copper Kα
Structure: a DFT-relaxed cell (GGA-PBE, OQMD)
Peak positions follow from Bragg's law for the DFT cell and can differ from measured ones.

The 10 most intense peaks (10° ≤ 2θ ≤ 90°), low angle first:
(0 0 8), 2θ 30.98, I 32; (1 0 2), 2θ 32.90, I 57; (1 0 3), 2θ 34.06, I 26; (1 0 4), 2θ 35.62, I 21; (1 0 5), 2θ 37.55, I 65; (1 0 6), 2θ 39.80, I 100; (1 1 0), 2θ 56.93, I 47; (1 0 12), 2θ 58.15, I 22; (1 1 8), 2θ 66.23, I 23; (2 0 6), 2θ 71.70, I 18

Crystal structure
```
data_Ta4NiB3
_cell_length_a 3.2349
_cell_length_b 3.2349
_cell_length_c 23.0952
_cell_angle_alpha 90.00
_cell_angle_beta 90.00
_cell_angle_gamma 120.00
_symmetry_space_group_name_H-M 'P 63/m m c'
_symmetry_Int_Tables_number 194
_symmetry_space_group_name_Hall '-P 6c 2c'
loop_
_atom_site_label
_atom_site_fract_x
_atom_site_fract_y
_atom_site_fract_z
Ta1 0.0000 0.0000 0.1703
Ta2 0.3333 0.6667 0.0566
Ni1 0.3333 0.6667 0.2500
B1 0.0000 0.0000 0.0000
B2 0.3333 0.6667 0.6163
```

=====

Entry 7:
Calculated powder XRD pattern
Compound: Li2Sc2TlSnPt2
Radiation: copper Kα
Structure: a DFT-relaxed cell (GGA-PBE, OQMD)
Peak positions follow from Bragg's law for the DFT cell and can differ from measured ones.

The 10 most intense peaks (10° ≤ 2θ ≤ 90°), low angle first:
(1 0 1), 2θ 23.48, I 72; (2 0 0), 2θ 38.82, I 100; (1 0 3), 2θ 45.77, I 12; (2 1 1), 2θ 45.91, I 25; (2 2 0), 2θ 56.14, I 12; (2 1 3), 2θ 61.57, I 11; (2 0 4), 2θ 70.17, I 11; (3 1 2), 2θ 70.33, I 23; (3 2 1), 2θ 75.35, I 6; (2 2 4), 2θ 83.23, I 7

Crystal structure
```
data_Li2Sc2TlSnPt2
_cell_length_a 4.634
_cell_length_b 4.634
_cell_length_c 6.580
_cell_angle_alpha 90.00
_cell_angle_beta 90.00
_cell_angle_gamma 90.00
_symmetry_space_group_name_H-M 'P -4 m 2'
_symmetry_Int_Tables_number 115
_symmetry_space_group_name_Hall 'P -4 -2'
loop_
_atom_site_label
_atom_site_fract_x
_atom_site_fract_y
_atom_site_fract_z
Li1 0.000 0.500 0.249
Sc1 0.000 0.000 0.000
Sc2 0.500 0.500 0.500
Tl1 0.500 0.500 0.000
Sn1 0.000 0.000 0.500
Pt1 0.000 0.500 0.739
```

=====

Entry 8:
Calculated powder XRD pattern
Compound: LaTaGaIr2
Radiation: copper Kα
Structure: a DFT-relaxed cell (GGA-PBE, OQMD)
Peak positions follow from Bragg's law for the DFT cell and can differ from measured ones.

The 10 most intense peaks (10° ≤ 2θ ≤ 90°), low angle first:
(0 0 2), 2θ 15.91, I 37; (1 0 3), 2θ 31.91, I 44; (1 1 2), 2θ 33.72, I 100; (2 0 0), 2θ 42.27, I 58; (1 1 4), 2θ 44.21, I 43; (2 1 3), 2θ 53.92, I 20; (1 1 6), 2θ 58.31, I 22; (2 2 0), 2θ 61.31, I 19; (3 1 2), 2θ 71.84, I 23; (3 1 4), 2θ 78.65, I 16

Crystal structure
```
data_LaTaGaIr2
_cell_length_a 4.276
_cell_length_b 4.276
_cell_length_c 11.142
_cell_angle_alpha 90.00
_cell_angle_beta 90.00
_cell_angle_gamma 90.00
_symmetry_space_group_name_H-M 'I 4 m m'
_symmetry_Int_Tables_number 107
_symmetry_space_group_name_Hall 'I 4 -2'
loop_
_atom_site_label
_atom_site_fract_x
_atom_site_fract_y
_atom_site_fract_z
La1 0.000 0.000 0.000
Ta1 0.000 0.000 0.637
Ga1 0.000 0.000 0.393
Ir1 0.000 0.500 0.258
```

=====

Entry 9:
Calculated powder XRD pattern
Compound: NaTl2AgF6
Radiation: copper Kα
Structure: a DFT-relaxed cell (GGA-PBE, OQMD)
Peak positions follow from Bragg's law for the DFT cell and can differ from measured ones.

The 10 most intense peaks (10° ≤ 2θ ≤ 90°), low angle first:
(2 1 0), 2θ 21.95, I 100; (2 1 1), 2θ 24.16, I 37; (1 1 2), 2θ 27.06, I 60; (3 1 1), 2θ 29.15, I 46; (2 1 2), 2θ 29.88, I 29; (4 0 1), 2θ 30.70, I 32; (0 2 0), 2θ 33.38, I 44; (0 1 3), 2θ 34.63, I 45; (1 0 4), 2θ 41.40, I 29; (3 2 2), 2θ 45.24, I 35

Crystal structure
```
data_NaTl2AgF6
_cell_length_a 12.332
_cell_length_b 5.368
_cell_length_c 8.872
_cell_angle_alpha 90.00
_cell_angle_beta 90.00
_cell_angle_gamma 90.00
_symmetry_space_group_name_H-M 'P n m a'
_symmetry_Int_Tables_number 62
_symmetry_space_group_name_Hall '-P 2ac 2n'
loop_
_atom_site_label
_atom_site_fract_x
_atom_site_fract_y
_atom_site_fract_z
Na1 0.068 0.250 0.010
Tl1 0.057 0.750 0.630
Tl2 0.163 0.750 0.216
Ag1 0.228 0.750 0.937
F1 0.020 0.507 0.822
F2 0.095 0.008 0.439
F3 0.216 0.250 0.898
F4 0.232 0.750 0.685
```

=====

Entry 10:
Calculated powder XRD pattern
Compound: Hf2Si2Se
Radiation: copper Kα
Structure: a DFT-relaxed cell (GGA-PBE, OQMD)
Peak positions follow from Bragg's law for the DFT cell and can differ from measured ones.

The 10 most intense peaks (10° ≤ 2θ ≤ 90°), low angle first:
(0 0 4), 2θ 17.10, I 26; (1 0 1), 2θ 32.04, I 18; (1 0 3), 2θ 34.35, I 100; (1 0 4), 2θ 36.27, I 36; (1 0 6), 2θ 41.33, I 29; (0 0 10), 2θ 43.65, I 19; (1 0 7), 2θ 44.36, I 45; (1 1 0), 2θ 56.53, I 28; (2 0 3), 2θ 67.85, I 14; (1 1 10), 2θ 74.04, I 23

Crystal structure
```
data_Hf2Si2Se
_cell_length_a 3.2557
_cell_length_b 3.2557
_cell_length_c 20.7360
_cell_angle_alpha 90.00
_cell_angle_beta 90.00
_cell_angle_gamma 120.00
_symmetry_space_group_name_H-M 'P 63/m m c'
_symmetry_Int_Tables_number 194
_symmetry_space_group_name_Hall '-P 6c 2c'
loop_
_atom_site_label
_atom_site_fract_x
_atom_site_fract_y
_atom_site_fract_z
Hf1 0.3333 0.6667 0.0958
Si1 0.3333 0.6667 0.6934
Se1 0.0000 0.0000 0.0000
```

=====

Entry 11:
Calculated powder XRD pattern
Compound: NbNiMo2
Radiation: copper Kα
Structure: a DFT-relaxed cell (GGA-PBE, OQMD)
Peak positions follow from Bragg's law for the DFT cell and can differ from measured ones.

The 7 most intense peaks (10° ≤ 2θ ≤ 90°), low angle first:
(1 1 1), 2θ 24.68, I 2; (2 0 0), 2θ 28.58, I 1; (2 2 0), 2θ 40.86, I 100; (3 1 1), 2θ 48.32, I 1; (4 0 0), 2θ 59.16, I 16; (4 2 2), 2θ 74.40, I 32; (4 4 0), 2θ 88.55, I 11

Crystal structure
```
data_NbNiMo2
_cell_length_a 6.247
_cell_length_b 6.247
_cell_length_c 6.247
_cell_angle_alpha 90.00
_cell_angle_beta 90.00
_cell_angle_gamma 90.00
_symmetry_space_group_name_H-M 'F -4 3 m'
_symmetry_Int_Tables_number 216
_symmetry_space_group_name_Hall 'F -4 2 3'
loop_
_atom_site_label
_atom_site_fract_x
_atom_site_fract_y
_atom_site_fract_z
Nb1 0.000 0.000 0.000
Ni1 0.250 0.250 0.750
Mo1 0.000 0.000 0.500
Mo2 0.250 0.250 0.250
```

=====

Entry 12:
Calculated powder XRD pattern
Compound: Er4Si3
Radiation: copper Kα
Structure: a DFT-relaxed cell (GGA-PBE, OQMD)
Peak positions follow from Bragg's law for the DFT cell and can differ from measured ones.

The 10 most intense peaks (10° ≤ 2θ ≤ 90°), low angle first:
(2 1 1), 2θ 25.14, I 55; (2 2 0), 2θ 29.11, I 34; (3 1 0), 2θ 32.64, I 100; (3 2 1), 2θ 38.84, I 66; (4 2 2), 2θ 51.61, I 27; (4 3 1), 2θ 53.88, I 53; (6 1 1), 2θ 66.42, I 21; (6 2 0), 2θ 68.38, I 13; (5 4 1), 2θ 70.32, I 18; (5 5 2), 2θ 81.53, I 13

Crystal structure
```
data_Er4Si3
_cell_length_a 8.676
_cell_length_b 8.676
_cell_length_c 8.676
_cell_angle_alpha 90.00
_cell_angle_beta 90.00
_cell_angle_gamma 90.00
_symmetry_space_group_name_H-M 'I -4 3 d'
_symmetry_Int_Tables_number 220
_symmetry_space_group_name_Hall 'I -4bd 2c 3'
loop_
_atom_site_label
_atom_site_fract_x
_atom_site_fract_y
_atom_site_fract_z
Er1 0.067 0.433 0.567
Si1 0.000 0.250 0.875
```